Entry 1:
Diffraction record for LuFeO3. The XRD peak list is computed, not measured: it uses a PBE+U-relaxed structure and Cu Kα (λ = 1.5418 Å).

Peak list (10 most intense, 15° ≤ 2θ ≤ 90°, by angle)
2θ = 23.25°, rel. 40; 2θ = 26.06°, rel. 25; 2θ = 32.07°, rel. 16; 2θ = 33.11°, rel. 100; 2θ = 34.21°, rel. 39; 2θ = 47.44°, rel. 14; 2θ = 47.60°, rel. 14; 2θ = 49.15°, rel. 16; 2θ = 53.62°, rel. 21; 2θ = 60.55°, rel. 27

Structural model:
```
LuFeO3
1.0
5.5814 0.0000 0.0000
0.0000 7.6658 0.0000
0.0000 0.0000 5.2410
Lu Fe O
4 4 12
direct
0.0716 0.2500 0.0221
0.4284 0.7500 0.5221
0.5716 0.2500 0.4779
0.9284 0.7500 0.9779
0.0000 0.0000 0.5000
0.0000 0.5000 0.5000
0.5000 0.0000 0.0000
0.5000 0.5000 0.0000
0.0525 0.7500 0.3704
0.1915 0.5659 0.8120
0.1915 0.9341 0.8120
0.3085 0.0659 0.3120
0.3085 0.4341 0.3120
0.4475 0.2500 0.8704
0.5525 0.7500 0.1296
0.6915 0.5659 0.6880
0.6915 0.9341 0.6880
0.8085 0.0659 0.1880
0.8085 0.4341 0.1880
0.9475 0.2500 0.6296
```



Entry 2:
Diffraction record for LuFe2O4. The XRD peak list is computed, not measured: it uses a PBE+U-relaxed structure and Cu Kα (λ = 1.5418 Å).

Peak list (10 most intense, 15° ≤ 2θ ≤ 90°, by angle)
2θ = 21.17°, rel. 38; 2θ = 29.91°, rel. 100; 2θ = 31.98°, rel. 45; 2θ = 32.92°, rel. 30; 2θ = 33.03°, rel. 59; 2θ = 34.73°, rel. 74; 2θ = 47.10°, rel. 28; 2θ = 52.64°, rel. 35; 2θ = 59.91°, rel. 27; 2θ = 63.03°, rel. 25

Structural model:
```
LuFe2O4
1.0
3.0144 -5.2019 0.0000
3.0144 5.2019 0.0000
-1.9767 0.0000 16.7906
Lu Fe O
6 12 24
direct
0.0837 0.4141 0.7469
0.2452 0.2452 0.2392
0.4141 0.0837 0.7469
0.5859 0.9163 0.2531
0.7548 0.7548 0.7608
0.9163 0.5859 0.2531
0.0212 0.6912 0.5718
0.1457 0.1457 0.9294
0.1907 0.5261 0.0709
0.3088 0.9788 0.4282
0.3614 0.3614 0.5739
0.4739 0.8093 0.9291
0.5261 0.1907 0.0709
0.6386 0.6386 0.4261
0.6912 0.0212 0.5718
0.8093 0.4739 0.9291
0.8543 0.8543 0.0706
0.9788 0.3088 0.4282
0.0032 0.3553 0.5598
0.0534 0.7301 0.6891
0.1125 0.1125 0.8092
0.1467 0.4853 0.9446
0.1946 0.1946 0.0652
0.2284 0.5738 0.1890
0.2699 0.9466 0.3109
0.2974 0.2974 0.4474
0.3553 0.0032 0.5598
0.4097 0.4097 0.6917
0.4262 0.7716 0.8110
0.4853 0.1467 0.9446
0.5147 0.8533 0.0554
0.5738 0.2284 0.1890
0.5903 0.5903 0.3083
0.6447 0.9968 0.4402
0.7026 0.7026 0.5526
0.7301 0.0534 0.6891
0.7716 0.4262 0.8110
0.8054 0.8054 0.9348
0.8533 0.5147 0.0554
0.8875 0.8875 0.1908
0.9466 0.2699 0.3109
0.9968 0.6447 0.4402
```



Entry 3:
Diffraction record for Lu2Fe3O7. The XRD peak list is computed, not measured: it uses a PBE+U-relaxed structure and Cu Kα (λ = 1.5418 Å).

Peak list (10 most intense, 15° ≤ 2θ ≤ 90°, by angle)
2θ = 18.44°, rel. 26; 2θ = 29.95°, rel. 51; 2θ = 30.97°, rel. 43; 2θ = 32.32°, rel. 25; 2θ = 33.67°, rel. 100; 2θ = 41.21°, rel. 25; 2θ = 45.95°, rel. 24; 2θ = 52.87°, rel. 43; 2θ = 56.84°, rel. 26; 2θ = 62.55°, rel. 34

Structural model:
```
Lu2Fe3O7
1.0
3.4632 0.0000 0.0000
-1.7316 2.9992 0.0000
0.0000 0.0000 28.8712
Lu Fe O
4 6 14
direct
0.3333 0.6667 0.1485
0.3333 0.6667 0.3515
0.6667 0.3333 0.6485
0.6667 0.3333 0.8515
0.0000 0.0000 0.2500
0.0000 0.0000 0.7500
0.3333 0.6667 0.5425
0.3333 0.6667 0.9575
0.6667 0.3333 0.0425
0.6667 0.3333 0.4575
0.0000 0.0000 0.1805
0.0000 0.0000 0.3195
0.0000 0.0000 0.6805
0.0000 0.0000 0.8195
0.3333 0.6667 0.0332
0.3333 0.6667 0.2500
0.3333 0.6667 0.4668
0.3333 0.6667 0.6103
0.3333 0.6667 0.8897
0.6667 0.3333 0.1103
0.6667 0.3333 0.3897
0.6667 0.3333 0.5332
0.6667 0.3333 0.7500
0.6667 0.3333 0.9668
```



Entry 4:
Diffraction record for LuFe2O4. The XRD peak list is computed, not measured: it uses a PBE+U-relaxed structure and Cu Kα (λ = 1.5418 Å).

Peak list (10 most intense, 15° ≤ 2θ ≤ 90°, by angle)
2θ = 21.08°, rel. 40; 2θ = 29.87°, rel. 100; 2θ = 31.86°, rel. 47; 2θ = 32.88°, rel. 59; 2θ = 33.05°, rel. 30; 2θ = 34.66°, rel. 75; 2θ = 46.84°, rel. 30; 2θ = 52.67°, rel. 35; 2θ = 59.77°, rel. 20; 2θ = 62.75°, rel. 26

Structural model:
```
LuFe2O4
1.0
3.0080 -5.2247 0.0000
3.0080 5.2247 0.0000
-2.0974 0.0000 16.8552
Lu Fe O
6 12 24
direct
0.0870 0.4225 0.7479
0.2420 0.2420 0.2451
0.4225 0.0870 0.7479
0.5775 0.9130 0.2521
0.7580 0.7580 0.7549
0.9130 0.5775 0.2521
0.0274 0.6941 0.5715
0.1461 0.1461 0.9290
0.1886 0.5234 0.0718
0.3059 0.9726 0.4285
0.3656 0.3656 0.5717
0.4766 0.8114 0.9282
0.5234 0.1886 0.0718
0.6344 0.6344 0.4283
0.6941 0.0274 0.5715
0.8114 0.4766 0.9282
0.8539 0.8539 0.0710
0.9726 0.3059 0.4285
0.0352 0.3558 0.5582
0.0627 0.7337 0.6909
0.1170 0.1170 0.8112
0.1449 0.4666 0.9446
0.1778 0.1778 0.0620
0.2241 0.5620 0.1902
0.2663 0.9373 0.3091
0.3198 0.3198 0.4432
0.3558 0.0352 0.5582
0.4056 0.4056 0.6892
0.4380 0.7759 0.8098
0.4666 0.1449 0.9446
0.5334 0.8551 0.0554
0.5620 0.2241 0.1902
0.5944 0.5944 0.3108
0.6442 0.9648 0.4418
0.6802 0.6802 0.5568
0.7337 0.0627 0.6909
0.7759 0.4380 0.8098
0.8222 0.8222 0.9380
0.8551 0.5334 0.0554
0.8830 0.8830 0.1888
0.9373 0.2663 0.3091
0.9648 0.6442 0.4418
```



Entry 5:
Diffraction record for LuZn4FeO7. The XRD peak list is computed, not measured: it uses a PBE+U-relaxed structure and Cu Kα (λ = 1.5418 Å).

Peak list (10 most intense, 15° ≤ 2θ ≤ 90°, by angle)
2θ = 30.71°, rel. 29; 2θ = 30.83°, rel. 25; 2θ = 32.36°, rel. 33; 2θ = 34.82°, rel. 100; 2θ = 45.21°, rel. 21; 2θ = 54.60°, rel. 39; 2θ = 59.31°, rel. 30; 2θ = 61.90°, rel. 12; 2θ = 64.91°, rel. 26; 2θ = 66.41°, rel. 16

Structural model:
```
LuZn4FeO7
1.0
3.3617 0.0000 0.0000
-1.6808 2.9113 0.0000
0.0000 0.0000 33.2037
Lu Zn Fe O
2 8 2 14
direct
0.0000 0.0000 0.0000
0.0000 0.0000 0.5000
0.0000 0.0000 0.1702
0.0000 0.0000 0.3298
0.0000 0.0000 0.6702
0.0000 0.0000 0.8298
0.3333 0.6667 0.0919
0.3333 0.6667 0.4081
0.6667 0.3333 0.5919
0.6667 0.3333 0.9081
0.3333 0.6667 0.2500
0.6667 0.3333 0.7500
0.0000 0.0000 0.1099
0.0000 0.0000 0.2500
0.0000 0.0000 0.3901
0.0000 0.0000 0.6099
0.0000 0.0000 0.7500
0.0000 0.0000 0.8901
0.3333 0.6667 0.0324
0.3333 0.6667 0.1886
0.3333 0.6667 0.3114
0.3333 0.6667 0.4676
0.6667 0.3333 0.5324
0.6667 0.3333 0.6886
0.6667 0.3333 0.8114
0.6667 0.3333 0.9676
```



Entry 6:
Diffraction record for MgMn4FeO8. The XRD peak list is computed, not measured: it uses a PBE+U-relaxed structure and Cu Kα (λ = 1.5418 Å).

Peak list (10 most intense, 15° ≤ 2θ ≤ 90°, by angle)
2θ = 17.71°, rel. 77; 2θ = 17.89°, rel. 23; 2θ = 35.08°, rel. 20; 2θ = 35.87°, rel. 15; 2θ = 36.24°, rel. 15; 2θ = 36.48°, rel. 27; 2θ = 41.37°, rel. 56; 2θ = 42.50°, rel. 100; 2θ = 60.55°, rel. 30; 2θ = 61.07°, rel. 42

Structural model:
```
MgMn4FeO8
1.0
5.2896 -2.9834 0.0000
5.2896 2.9834 0.0000
-3.4272 0.0000 5.0076
Mg Mn Fe O
1 4 1 8
direct
0.0000 0.0000 0.0000
0.0000 0.0000 0.5000
0.0000 0.5000 0.5000
0.5000 0.0000 0.5000
0.5000 0.5000 0.0000
0.5000 0.5000 0.5000
0.2513 0.7473 0.7423
0.2530 0.2530 0.7156
0.2527 0.7487 0.2577
0.2570 0.2570 0.2927
0.7430 0.7430 0.7073
0.7473 0.2513 0.7423
0.7470 0.7470 0.2844
0.7487 0.2527 0.2577
```